For YMn2In2, a cell relaxed with PBE gives the simulated XRD peak list in this record (a wavelength of 1.5418 Å).
Neutral-atom scattering factors, no anomalous dispersion.

Structure:
Cell: 8.1020 8.1020 3.0903 Å, 90.00 90.00 90.00°
Space group P4/mbm (No. 127)
Symmetry-distinct sites (fractional):
Y 0.0000 0.0000 0.0000 (multiplicity 2)
Mn 0.1177 0.3823 0.0000 (multiplicity 4)
In 0.1747 0.6747 0.5000 (multiplicity 4)

The 6 most intense peaks (2θ from 15° to 90°), by angle:
h k l, 2theta, d [Å], Rel. int.
2 1 0, 24.57, 3.623, 23
2 2 0, 31.22, 2.864, 22
3 1 0, 35.02, 2.562, 65
2 0 1, 36.57, 2.457, 54
2 1 1, 38.28, 2.351, 100
4 1 0, 46.20, 1.965, 22